For SrZnO5, a structure optimized by DFT (GGA-PBE) gives the calculated powder X-ray diffraction pattern in this record (Cu Kα).
Lines closer than 0.1° are merged.

Top 10 peaks for 10 to 90 degrees two-theta, by angle:
- 17.98 deg, I = 32
- 18.28 deg, I = 77
- 23.92 deg, I = 24
- 25.73 deg, I = 55
- 28.05 deg, I = 40
- 28.76 deg, I = 30
- 29.36 deg, I = 100
- 32.05 deg, I = 34
- 32.91 deg, I = 41
- 36.42 deg, I = 32

Structure:
```
SrZnO5
1.0
5.4762 0.0000 0.0000
-2.2531 6.5079 0.0000
-2.3408 -2.3640 6.9256
Sr Zn O
2 2 10
Cartesian
-1.3769 2.5290 1.6742
2.2591 1.6150 5.2514
1.4332 -0.2839 1.3593
-0.5510 4.4278 5.5663
-1.2313 4.6797 0.5927
-0.4491 0.2230 3.1338
-1.5138 3.2499 4.1949
-0.1574 0.1195 4.3546
-0.7784 2.5369 5.3202
1.6606 1.6070 1.6054
1.0396 4.0244 2.5710
2.3960 0.8940 2.7307
1.3314 3.9209 3.7918
2.1135 -0.5358 6.3328
```

---

For SrZnO5, a structure optimized by DFT (GGA-PBE) gives the calculated powder X-ray diffraction pattern in this record (Cu Kα).
Lines closer than 0.1° are merged.

Top 10 peaks for 10 to 90 degrees two-theta, by angle:
- 13.73 deg, I = 16
- 20.78 deg, I = 57
- 22.25 deg, I = 16
- 22.86 deg, I = 100
- 27.65 deg, I = 46
- 28.38 deg, I = 22
- 28.76 deg, I = 21
- 35.75 deg, I = 33
- 41.99 deg, I = 18
- 45.92 deg, I = 16

Structure:
```
SrZnO5
1.0
4.4369 0.0000 0.0000
2.1129 4.5510 0.0000
0.1605 2.1963 6.4487
Sr Zn O
1 1 5
Cartesian
0.0000 0.0000 0.0000
2.7161 3.9036 3.8321
1.9802 3.9727 2.2144
2.3476 3.0831 5.8569
3.1967 4.3353 5.6183
3.9374 1.7002 2.4277
4.1284 2.1315 3.6160
```

---

For SrZnO3, a structure optimized by DFT (GGA-PBE) gives the calculated powder X-ray diffraction pattern in this record (Cu Kα).
Lines closer than 0.1° are merged.

Top 8 peaks for 10 to 90 degrees two-theta, by angle:
- 31.80 deg, I = 100
- 39.20 deg, I = 8
- 45.58 deg, I = 37
- 56.65 deg, I = 39
- 66.44 deg, I = 22
- 75.54 deg, I = 17
- 79.94 deg, I = 2
- 84.29 deg, I = 7

Structure:
```
SrZnO3
1.0
3.9801 0.0000 0.0000
0.0000 3.9801 0.0000
0.0000 0.0000 3.9801
Sr Zn O
1 1 3
Cartesian
0.0000 0.0000 0.0000
1.9900 1.9900 1.9900
0.0000 1.9900 1.9900
1.9900 0.0000 1.9900
1.9900 1.9900 0.0000
```

---

For SrZnO5, a structure optimized by DFT (GGA-PBE) gives the calculated powder X-ray diffraction pattern in this record (Cu Kα).
Lines closer than 0.1° are merged.

Top 10 peaks for 10 to 90 degrees two-theta, by angle:
- 19.57 deg, I = 100
- 26.08 deg, I = 25
- 26.24 deg, I = 73
- 29.03 deg, I = 26
- 33.60 deg, I = 15
- 34.49 deg, I = 24
- 36.00 deg, I = 16
- 38.75 deg, I = 15
- 39.74 deg, I = 24
- 40.22 deg, I = 25

Structure:
```
SrZnO5
1.0
4.4906 0.0000 0.0000
0.2777 5.3712 0.0000
0.1164 2.0744 5.2008
Sr Zn O
1 1 5
Cartesian
0.0000 0.0000 0.0000
2.4529 4.2450 2.2919
0.5410 4.5725 2.7935
0.6907 2.7167 0.4498
2.5309 5.2714 0.7513
3.8916 2.5322 0.4997
4.0234 3.6605 3.2664
```

---

For Sr2Zr7O16, a structure optimized by DFT (GGA-PBE) gives the calculated powder X-ray diffraction pattern in this record (Cu Kα).
Lines closer than 0.1° are merged.

Top 10 peaks for 10 to 90 degrees two-theta, by angle:
- 29.21 deg, I = 100
- 29.62 deg, I = 32
- 33.98 deg, I = 33
- 48.55 deg, I = 31
- 49.08 deg, I = 32
- 57.67 deg, I = 11
- 57.91 deg, I = 23
- 58.38 deg, I = 14
- 71.52 deg, I = 9
- 78.66 deg, I = 8

Structure:
```
Sr2Zr7O16
1.0
3.2480 1.8753 9.0472
-3.2480 1.8753 9.0472
0.0000 -3.7505 9.0472
Sr Zr O
2 7 16
Cartesian
0.0000 0.0000 4.5279
0.0000 0.0000 22.6138
-2.4168 -0.0056 10.4463
-1.2036 -2.0958 16.6954
1.2132 -2.0902 10.4463
0.0000 0.0000 13.5709
-1.2132 2.0902 16.6954
1.2036 2.0958 10.4463
2.4168 0.0056 16.6954
0.0000 0.0000 1.9614
-0.8614 -1.6425 9.8594
-1.8013 -0.0411 12.4218
0.0000 0.0000 7.1494
-0.8650 -1.5805 14.7199
-1.8532 -0.0752 17.2823
-0.9918 1.5673 9.8594
0.9362 -1.5394 12.4218
-0.9362 1.5394 14.7199
0.9917 -1.5673 17.2823
1.8532 0.0752 9.8594
0.8650 1.5805 12.4218
0.0000 0.0000 19.9923
1.8013 0.0411 14.7199
0.8614 1.6425 17.2823
0.0000 0.0000 25.1803
```

---

For Sr3Zr2O7, a structure optimized by DFT (GGA-PBE) gives the calculated powder X-ray diffraction pattern in this record (Cu Kα).
Lines closer than 0.1° are merged.

Top 10 peaks for 10 to 90 degrees two-theta, by angle:
- 30.02 deg, I = 100
- 30.15 deg, I = 63
- 42.76 deg, I = 16
- 43.17 deg, I = 39
- 53.21 deg, I = 19
- 53.47 deg, I = 40
- 62.38 deg, I = 19
- 62.70 deg, I = 12
- 71.10 deg, I = 19
- 86.91 deg, I = 11

Structure:
```
Sr3Zr2O7
1.0
-2.0957 2.0957 10.5732
2.0957 -2.0957 10.5732
2.0957 2.0957 -10.5732
Sr Zr O
3 2 7
Cartesian
0.0000 0.0000 0.0000
0.0000 0.0000 3.9418
0.0000 0.0000 17.2046
0.0000 0.0000 8.4501
0.0000 0.0000 12.6963
2.0957 0.0000 2.0815
0.0000 0.0000 6.3474
2.0957 0.0000 8.4917
0.0000 0.0000 10.5732
0.0000 2.0957 2.0815
0.0000 0.0000 14.7990
0.0000 2.0957 8.4917
```

---

For Ta2O5, a structure optimized by DFT (GGA-PBE) gives the calculated powder X-ray diffraction pattern in this record (Cu Kα).
Lines closer than 0.1° are merged.

Top 10 peaks for 10 to 90 degrees two-theta, by angle:
- 19.73 deg, I = 100
- 19.91 deg, I = 35
- 20.13 deg, I = 13
- 26.80 deg, I = 32
- 27.66 deg, I = 23
- 34.34 deg, I = 21
- 35.07 deg, I = 21
- 35.32 deg, I = 24
- 43.41 deg, I = 13
- 54.86 deg, I = 15

Structure:
```
Ta2O5
1.0
8.8372 0.0000 0.0000
0.0000 6.6535 0.0000
-4.1759 0.0000 4.4597
Ta O
4 10
Cartesian
1.4345 0.0000 0.5311
-1.1918 3.3268 3.9286
5.8531 3.3268 0.5311
3.2268 0.0000 3.9286
-2.0879 3.1284 2.2299
-0.3065 0.0051 1.2206
-1.9234 5.0321 4.3210
2.1661 1.7053 0.1387
0.5492 3.3319 3.2392
2.3307 6.4552 2.2299
4.1121 3.3319 1.2206
2.4953 1.7053 4.3210
6.5847 5.0321 0.1387
4.9678 0.0051 3.2392
```